# Pm4SnHgC
Calculated powder diffractogram, CuKα. Input: a DFT-relaxed cell (GGA-PBE, Alexandria).

Atomic structure:
```
14
Lattice="3.597 -7.715 0.000 3.597 7.715 0.000 0.000 0.000 7.185" Properties=species:S:1:pos:R:3 pbc="T T T"
Pm 1.798 3.858 0.000
Pm 1.798 3.858 3.592
Pm 3.597 6.451 5.388
Pm 3.597 1.336 5.388
Pm 1.798 -3.858 0.000
Pm 1.798 -3.858 3.592
Pm 3.597 -1.336 1.796
Pm 3.597 -6.451 1.796
Sn 3.597 1.841 1.796
Sn 3.597 -1.841 5.388
Hg 3.597 5.892 1.796
Hg 3.597 -5.892 5.388
C 3.597 3.867 5.388
C 3.597 -3.867 1.796
```

The 10 most intense peaks (15° ≤ 2θ ≤ 90°), by angle:
24.8°, d 3.595, intensity 31.8; 27.4°, d 3.258, intensity 92.3; 34.1°, d 2.633, intensity 100.0; 34.1°, d 2.629, intensity 72.3; 34.9°, d 2.572, intensity 27.2; 35.3°, d 2.542, intensity 98.3; 50.5°, d 1.808, intensity 38.1; 50.8°, d 1.797, intensity 35.1; 58.7°, d 1.574, intensity 22.8; 62.6°, d 1.484, intensity 55.9



# Tb4HgSbC
Calculated powder diffractogram, CuKα. Input: a DFT-relaxed cell (GGA-PBE, Alexandria).

Atomic structure:
```
14
Lattice="3.431 -7.781 0.000 3.431 7.781 0.000 0.000 0.000 6.845" Properties=species:S:1:pos:R:3 pbc="T T T"
Tb 1.716 3.890 0.000
Tb 1.716 3.890 3.423
Tb 3.431 6.475 5.134
Tb 3.431 1.407 5.134
Tb 1.716 -3.890 0.000
Tb 1.716 -3.890 3.423
Tb 3.431 -1.407 1.711
Tb 3.431 -6.475 1.711
Hg 3.431 5.997 1.711
Hg 3.431 -5.997 5.134
Sb 3.431 1.727 1.711
Sb 3.431 -1.727 5.134
C 3.431 3.889 5.134
C 3.431 -3.889 1.711
```

The 10 most intense peaks (15° ≤ 2θ ≤ 90°), by angle:
26.0°, d 3.427, intensity 18.8; 28.5°, d 3.136, intensity 66.1; 34.6°, d 2.594, intensity 24.2; 34.9°, d 2.572, intensity 100.0; 37.1°, d 2.423, intensity 63.1; 51.6°, d 1.771, intensity 31.0; 65.4°, d 1.427, intensity 23.9; 65.5°, d 1.425, intensity 16.2; 65.9°, d 1.417, intensity 13.6; 89.8°, d 1.092, intensity 12.5



# ScHgC3
Calculated powder diffractogram, CuKα. Input: a DFT-relaxed cell (GGA-PBE, Alexandria).

Atomic structure:
```
5
Lattice="4.339 0.000 0.000 0.000 4.339 0.000 0.000 0.000 4.339" Properties=species:S:1:pos:R:3 pbc="T T T"
Sc 0.000 0.000 0.000
Hg 2.169 2.169 2.169
C 0.000 0.000 2.169
C 0.000 2.169 0.000
C 2.169 0.000 0.000
```

The 10 most intense peaks (15° ≤ 2θ ≤ 90°), by angle:
20.5°, d 4.339, intensity 41.2; 29.1°, d 3.068, intensity 100.0; 35.8°, d 2.505, intensity 24.9; 41.6°, d 2.169, intensity 26.3; 46.8°, d 1.940, intensity 22.4; 51.6°, d 1.771, intensity 41.7; 60.3°, d 1.534, intensity 16.9; 64.4°, d 1.446, intensity 11.5; 68.4°, d 1.372, intensity 18.1; 83.3°, d 1.160, intensity 21.6



# Si8HgC18
Calculated powder diffractogram, CuKα. Input: a DFT-relaxed cell (GGA-PBE, Alexandria).

Atomic structure:
```
27
Lattice="5.479 0.000 0.000 -0.436 8.260 0.000 -1.042 -0.893 8.934" Properties=species:S:1:pos:R:3 pbc="T T T"
Si -0.134 0.465 2.133
Si 0.085 3.927 5.460
Si 1.241 1.974 3.288
Si 1.176 5.144 2.725
Si 2.825 2.223 6.209
Si 2.760 5.394 5.647
Si 3.917 3.440 3.475
Si 4.135 6.902 6.802
Hg 2.740 0.000 0.000
C -0.570 0.394 6.251
C 0.262 6.557 1.860
C 0.326 3.663 3.528
C 0.627 7.664 1.121
C 0.501 1.152 5.955
C 0.345 6.184 7.188
C 0.985 2.499 6.222
C 0.968 5.363 6.326
C 1.599 1.409 5.056
C 2.402 5.958 3.879
C 3.033 2.004 2.609
C 3.016 4.868 2.713
C 3.656 1.184 1.746
C 3.500 6.215 2.980
C 3.374 -0.297 7.814
C 3.675 3.704 5.407
C 3.739 0.811 7.075
C 4.571 6.973 2.684
```

The 10 most intense peaks (15° ≤ 2θ ≤ 90°), by angle:
15.4°, d 5.770, intensity 100.0; 20.1°, d 4.409, intensity 26.9; 21.0°, d 4.220, intensity 28.0; 21.9°, d 4.061, intensity 24.9; 22.9°, d 3.883, intensity 27.7; 26.2°, d 3.404, intensity 31.4; 28.3°, d 3.153, intensity 52.7; 30.0°, d 2.978, intensity 22.6; 30.6°, d 2.923, intensity 23.1; 35.7°, d 2.513, intensity 26.0